1.
# Ba3La3Mn2W3O18
Simulated XRD peak list, copper Kα. Input: a cell relaxed with PBE+U.

Atomic structure:
Cell: 5.8286 5.8286 41.6025 Å, 90.00 90.00 120.00°
Space group R3m (No. 160, hexagonal axes)
Unique sites:
Ba1 0.0000 0.0000 0.0000
Ba2 0.0000 0.0000 0.1046
Ba3 0.0000 0.0000 0.8309
La1 0.0000 0.0000 0.2808
La2 0.0000 0.0000 0.5542
La3 0.0000 0.0000 0.7349
Mn1 0.0000 0.0000 0.1912
Mn2 0.0000 0.0000 0.6390
W1 0.0000 0.0000 0.3620
W2 0.0000 0.0000 0.4677
W3 0.0000 0.0000 0.9142
O1 0.0017 0.5009 0.5548
O2 0.0045 0.5023 0.1093
O3 0.0058 0.5029 0.2722
O4 0.0329 0.5164 0.9965
O5 0.1709 0.3418 0.0515
O6 0.1806 0.3613 0.1634

Principal peaks in the range 2θ = 15–90°, low angle first:
2θ/deg  I_rel
18.1  16
29.5  98
30.7  100
43.1  53
53.8  38
54.5  20
63.9  19
71.9  16

2.
# TbMoBrO4
Simulated XRD peak list, copper Kα. Input: a cell relaxed with PBE+U.

Atomic structure:
Cell: 6.945 7.316 11.101 Å, 105.62 107.29 92.74°
Space group P-1 (No. 2)
Unique sites:
Tb1 0.107 0.349 0.231
Tb2 0.144 0.122 0.731
Mo1 0.234 0.814 0.134
Mo2 0.275 0.592 0.630
Br1 0.241 0.015 0.483
Br2 0.305 0.284 0.019
O1 0.107 0.021 0.182
O2 0.125 0.651 0.202
O3 0.157 0.796 0.701
O4 0.170 0.728 0.959
O5 0.175 0.506 0.453
O6 0.208 0.418 0.703
O7 0.456 0.356 0.325
O8 0.497 0.134 0.793

Principal peaks in the range 2θ = 15–90°, low angle first:
2θ/deg  I_rel
17.5  22
24.4  100
25.5  48
27.2  21
28.2  18
29.5  24
31.2  27
32.7  29

3.
# Sr4MgFe2Cl2O6
Simulated XRD peak list, copper Kα. Input: a cell relaxed with PBE+U.

Atomic structure:
Cell: 3.891 4.028 17.118 Å, 96.22 93.77 90.01°
Space group P1 (No. 1)
Unique sites:
Sr1 0.000 0.000 0.000
Sr2 0.053 0.093 0.202
Sr3 0.448 0.436 0.839
Sr4 0.626 0.766 0.475
Mg1 0.485 0.344 0.638
Fe1 0.525 0.546 0.096
Fe2 0.946 0.879 0.714
Cl1 0.126 0.267 0.478
Cl2 0.579 0.645 0.303
O1 0.024 0.369 0.691
O2 0.032 0.556 0.119
O3 0.488 0.514 0.971
O4 0.529 0.056 0.113
O5 0.565 0.833 0.614
O6 0.968 0.933 0.830

Principal peaks in the range 2θ = 15–90°, low angle first:
2θ/deg  I_rel
15.7  18
30.1  21
32.0  100
32.3  38
32.4  22
32.7  21
45.0  31
46.8  25

4.
# Li5WNO4
Simulated XRD peak list, copper Kα. Input: a cell relaxed with PBE+U.

Atomic structure:
Cell: 9.246 5.015 9.780 Å, 90.00 90.00 90.00°
Space group Cmc2_1 (No. 36)
Unique sites:
Li1 0.000 0.074 0.000
Li2 0.192 0.155 0.772
Li3 0.213 0.480 0.519
W1 0.000 0.304 0.277
N1 0.000 0.342 0.801
O1 0.147 0.222 0.138
O2 0.148 0.175 0.404

Principal peaks in the range 2θ = 15–90°, low angle first:
2θ/deg  I_rel
18.1  40
19.2  28
22.1  100
26.5  36
34.2  20
35.4  15
41.8  11
44.3  23

5.
# Sr4La4Mn7CuO24
Simulated XRD peak list, copper Kα. Input: a cell relaxed with PBE+U.

Atomic structure:
Cell: 5.458 5.552 18.194 Å, 97.42 90.03 119.42°
Space group P-1 (No. 2)
Unique sites:
Sr1 0.123 0.061 0.313
Sr2 0.376 0.187 0.939
La1 0.128 0.563 0.815
La2 0.373 0.687 0.439
Mn1 0.000 0.500 0.000
Mn2 0.249 0.124 0.124
Mn3 0.249 0.626 0.625
Mn4 0.499 0.749 0.250
Cu1 0.000 0.000 0.500
O1 0.060 0.770 0.571
O2 0.071 0.291 0.074
O3 0.097 0.585 0.300
O4 0.112 0.102 0.803
O5 0.120 0.806 0.066
O6 0.142 0.339 0.563
O7 0.373 0.440 0.189
O8 0.380 0.942 0.687
O9 0.390 0.663 0.943
O10 0.400 0.151 0.449
O11 0.438 0.463 0.675
O12 0.439 0.974 0.180

Principal peaks in the range 2θ = 15–90°, low angle first:
2θ/deg  I_rel
28.7  100
32.3  68
32.5  67
33.2  69
33.6  62
36.6  48
41.7  64
47.1  44

6.
# Li3Ni4O4F3
Simulated XRD peak list, copper Kα. Input: a cell relaxed with PBE+U.

Atomic structure:
Cell: 2.956 2.956 29.218 Å, 90.00 90.00 90.00°
Space group I4/mmm (No. 139)
Unique sites:
Li1 0.000 0.000 0.000
Li2 0.000 0.000 0.430
Ni1 0.000 0.000 0.142
Ni2 0.000 0.000 0.286
O1 0.000 0.000 0.214
O2 0.000 0.000 0.359
F1 0.000 0.000 0.068
F2 0.000 0.000 0.500

Principal peaks in the range 2θ = 15–90°, low angle first:
2θ/deg  I_rel
34.0  34
37.3  31
41.3  20
43.3  100
43.8  13
62.9  56
75.5  14
79.5  17